1.
LiMnP4O12: calculated powder XRD pattern (Cu Ka), based on a DFT-relaxed cell (GGA+U, the Materials Project).
No peak broadening, texture or thermal motion is included.

Cell and atoms:
Cell: 6.986 9.006 7.208 Å, 90.00 94.83 90.00°
Space group P2_1 (No. 4)
Asymmetric unit:
Li 0.167 0.000 0.307 (multiplicity 2)
Mn 0.268 0.574 0.767 (multiplicity 2)
P 0.064 0.034 0.936 (multiplicity 2)
P 0.104 0.381 0.412 (multiplicity 2)
P 0.425 0.217 0.909 (multiplicity 2)
P 0.480 0.517 0.416 (multiplicity 2)
O 0.006 0.508 0.280 (multiplicity 2)
O 0.029 0.230 0.364 (multiplicity 2)
O 0.088 0.438 0.611 (multiplicity 2)
O 0.114 0.588 0.977 (multiplicity 2)
O 0.174 0.915 0.037 (multiplicity 2)
O 0.199 0.177 0.908 (multiplicity 2)
O 0.327 0.385 0.369 (multiplicity 2)
O 0.328 0.958 0.521 (multiplicity 2)
O 0.383 0.625 0.542 (multiplicity 2)
O 0.430 0.369 0.828 (multiplicity 2)
O 0.479 0.691 0.898 (multiplicity 2)
O 0.480 0.595 0.218 (multiplicity 2)

The 10 most intense peaks (2θ = 10–90°), low angle first:
index  d/Å  Position (°2θ)  I_rel
1 1 0  5.508  16.09  53
1 0 1  4.801  18.48  25
0 2 0  4.508  19.70  84
0 2 1  3.815  23.31  46
1 2 -1  3.411  26.13  28
0 1 2  3.336  26.72  39
1 2 1  3.284  27.15  100
1 1 -2  3.104  28.76  43
2 1 -1  3.050  29.29  54
2 1 1  2.875  31.11  27

2.
CsScW2O8: calculated powder XRD pattern (Cu Ka), based on a DFT-relaxed cell (GGA+U, the Materials Project).
No peak broadening, texture or thermal motion is included.

Cell and atoms:
Cell: 9.660 5.999 8.814 Å, 90.00 94.20 90.00°
Space group C2/m (No. 12)
Asymmetric unit:
Cs 0.000 0.000 0.000 (multiplicity 2)
Sc 0.000 0.000 0.500 (multiplicity 2)
W 0.133 0.500 0.309 (multiplicity 4)
O 0.030 0.248 0.335 (multiplicity 8)
O 0.181 0.500 0.118 (multiplicity 4)
O 0.215 0.000 0.557 (multiplicity 4)

The 10 most intense peaks (2θ = 10–90°), low angle first:
index  d/Å  Position (°2θ)  I_rel
2 0 -1  4.361  20.36  53
1 1 1  4.334  20.49  100
2 0 1  4.100  21.68  20
1 1 -2  3.393  26.27  81
0 2 0  3.000  29.78  30
0 0 3  2.930  30.51  19
3 1 0  2.831  31.60  41
2 2 -1  2.472  36.35  27
3 1 -3  2.105  42.97  17
2 2 -4  1.697  54.04  22

3.
Na2NiPCO7: calculated powder XRD pattern (Cu Ka), based on a DFT-relaxed cell (GGA+U, the Materials Project).
No peak broadening, texture or thermal motion is included.

Cell and atoms:
Cell: 6.666 10.098 10.303 Å, 119.22 90.24 90.24°
Space group P1 (No. 1)
Asymmetric unit:
Na 0.000 0.000 0.000 (multiplicity 1)
Na 0.006 0.988 0.490 (multiplicity 1)
Na 0.031 0.474 0.990 (multiplicity 1)
Na 0.255 0.644 0.795 (multiplicity 1)
Na 0.498 0.467 0.474 (multiplicity 1)
Na 0.508 0.475 0.994 (multiplicity 1)
Na 0.529 0.988 0.490 (multiplicity 1)
Na 0.535 0.999 0.001 (multiplicity 1)
Ni 0.268 0.080 0.301 (multiplicity 1)
Ni 0.269 0.080 0.804 (multiplicity 1)
Ni 0.772 0.388 0.676 (multiplicity 1)
Ni 0.774 0.387 0.179 (multiplicity 1)
P 0.268 0.313 0.674 (multiplicity 1)
P 0.269 0.314 0.170 (multiplicity 1)
P 0.768 0.153 0.810 (multiplicity 1)
P 0.769 0.156 0.313 (multiplicity 1)
C 0.268 0.801 0.128 (multiplicity 1)
C 0.271 0.805 0.632 (multiplicity 1)
C 0.766 0.664 0.850 (multiplicity 1)
C 0.769 0.661 0.348 (multiplicity 1)
O 0.081 0.412 0.700 (multiplicity 1)
O 0.083 0.406 0.177 (multiplicity 1)
O 0.266 0.896 0.077 (multiplicity 1)
O 0.267 0.162 0.527 (multiplicity 1)
O 0.267 0.868 0.778 (multiplicity 1)
O 0.267 0.903 0.584 (multiplicity 1)
O 0.268 0.863 0.271 (multiplicity 1)
O 0.270 0.659 0.040 (multiplicity 1)
O 0.271 0.159 0.023 (multiplicity 1)
O 0.274 0.273 0.298 (multiplicity 1)
O 0.276 0.275 0.805 (multiplicity 1)
O 0.278 0.664 0.553 (multiplicity 1)
O 0.451 0.415 0.689 (multiplicity 1)
O 0.457 0.410 0.184 (multiplicity 1)
O 0.582 0.057 0.797 (multiplicity 1)
O 0.583 0.056 0.294 (multiplicity 1)
O 0.762 0.307 0.460 (multiplicity 1)
O 0.764 0.605 0.707 (multiplicity 1)
O 0.766 0.802 0.433 (multiplicity 1)
O 0.766 0.805 0.938 (multiplicity 1)
O 0.767 0.191 0.679 (multiplicity 1)
O 0.768 0.306 0.958 (multiplicity 1)
O 0.768 0.562 0.393 (multiplicity 1)
O 0.769 0.193 0.181 (multiplicity 1)
O 0.769 0.563 0.894 (multiplicity 1)
O 0.773 0.600 0.204 (multiplicity 1)
O 0.955 0.059 0.799 (multiplicity 1)
O 0.955 0.060 0.298 (multiplicity 1)

The 10 most intense peaks (2θ = 10–90°), low angle first:
index  d/Å  Position (°2θ)  I_rel
0 1 0  8.813  10.04  100
1 -1 0  5.334  16.62  21
1 1 0  5.298  16.73  18
0 2 -2  4.400  20.18  24
0 1 2  3.390  26.29  25
2 0 0  3.333  26.75  45
2 0 2  2.668  33.59  21
2 2 -2  2.657  33.74  20
0 2 -4  2.576  34.82  39
4 0 0  1.667  55.11  14

4.
K4BaV6O18: calculated powder XRD pattern (Cu Ka), based on a DFT-relaxed cell (GGA+U, the Materials Project).
No peak broadening, texture or thermal motion is included.

Cell and atoms:
Cell: 13.8653 13.8653 19.2888 Å, 90.00 90.00 120.00°
Space group R3c (No. 161, hexagonal axes)
Asymmetric unit:
K 0.0000 0.0000 0.0000 (multiplicity 6)
K 0.0001 0.4190 0.0038 (multiplicity 18)
Ba 0.0000 0.0000 0.2552 (multiplicity 6)
V 0.0615 0.2464 0.1446 (multiplicity 18)
V 0.1444 0.4181 0.5203 (multiplicity 18)
O 0.0005 0.3451 0.4929 (multiplicity 18)
O 0.0020 0.4912 0.2528 (multiplicity 18)
O 0.0328 0.1530 0.8815 (multiplicity 18)
O 0.1063 0.5502 0.3841 (multiplicity 18)
O 0.1497 0.0284 0.1121 (multiplicity 18)
O 0.2038 0.4313 0.9532 (multiplicity 18)

The 10 most intense peaks (2θ = 10–90°), low angle first:
index  d/Å  Position (°2θ)  I_rel
0 1 2  7.519  11.77  81
2 0 2  5.097  17.40  32
1 1 3  4.714  18.82  22
0 2 4  3.760  23.66  43
2 1 4  3.305  26.98  100
1 3 1  3.282  27.17  64
3 1 2  3.148  28.35  25
1 1 6  2.916  30.65  29
2 0 8  2.240  40.26  21
2 4 4  2.053  44.11  22

5.
Mn9CdO10: calculated powder XRD pattern (Cu Ka), based on a DFT-relaxed cell (GGA+U, the Materials Project).
No peak broadening, texture or thermal motion is included.

Cell and atoms:
Cell: 5.569 16.077 5.570 Å, 90.00 109.53 90.00°
Space group C2/m (No. 12)
Asymmetric unit:
Mn 0.000 0.000 0.000 (multiplicity 2)
Mn 0.000 0.101 0.500 (multiplicity 4)
Mn 0.000 0.201 0.000 (multiplicity 4)
Mn 0.000 0.299 0.500 (multiplicity 4)
Mn 0.000 0.399 0.000 (multiplicity 4)
Cd 0.000 0.500 0.500 (multiplicity 2)
O 0.240 0.000 0.760 (multiplicity 4)
O 0.243 0.104 0.243 (multiplicity 8)
O 0.248 0.300 0.251 (multiplicity 8)

The 10 most intense peaks (2θ = 10–90°), low angle first:
index  d/Å  Position (°2θ)  I_rel
0 2 0  8.039  11.01  3
1 1 0  4.990  17.78  2
1 1 -1  4.386  20.25  4
1 3 0  3.750  23.73  1
2 0 0  2.625  34.16  69
1 5 1  2.273  39.64  100
2 0 2  1.608  57.31  59
4 0 -2  1.371  68.44  27
4 0 0  1.313  71.94  18
2 10 2  1.137  85.41  8

6.
Li2MnF4: calculated powder XRD pattern (Cu Ka), based on a DFT-relaxed cell (GGA+U, the Materials Project).
No peak broadening, texture or thermal motion is included.

Cell and atoms:
Cell: 3.240 5.221 9.802 Å, 82.83 89.83 89.88°
Space group P1 (No. 1)
Asymmetric unit:
Li 0.000 0.000 0.000 (multiplicity 1)
Li 0.000 0.031 0.652 (multiplicity 1)
Li 0.922 0.527 0.150 (multiplicity 1)
Li 0.923 0.500 0.500 (multiplicity 1)
Mn 0.433 0.014 0.325 (multiplicity 1)
Mn 0.489 0.515 0.825 (multiplicity 1)
F 0.422 0.375 0.214 (multiplicity 1)
F 0.423 0.670 0.453 (multiplicity 1)
F 0.500 0.171 0.953 (multiplicity 1)
F 0.501 0.876 0.714 (multiplicity 1)
F 0.933 0.145 0.454 (multiplicity 1)
F 0.933 0.884 0.198 (multiplicity 1)
F 0.987 0.645 0.953 (multiplicity 1)
F 0.990 0.385 0.699 (multiplicity 1)

The 10 most intense peaks (2θ = 10–90°), low angle first:
index  d/Å  Position (°2θ)  I_rel
0 0 2  4.863  18.24  80
0 1 1  4.829  18.37  84
0 1 -1  4.353  20.40  65
0 1 3  2.917  30.65  35
1 1 1  2.695  33.24  83
-1 1 1  2.687  33.35  29
0 1 -3  2.605  34.43  22
0 2 -2  2.174  41.54  100
-1 1 3  2.164  41.74  48
2 0 0  1.620  56.83  25

7.
MgV4O10: calculated powder XRD pattern (Cu Ka), based on a DFT-relaxed cell (GGA+U, the Materials Project).
No peak broadening, texture or thermal motion is included.

Cell and atoms:
Cell: 6.618 3.668 7.902 Å, 90.00 91.53 90.00°
Space group Pm (No. 6)
Asymmetric unit:
Mg 0.000 0.000 0.000 (multiplicity 1)
V 0.311 0.500 0.897 (multiplicity 1)
V 0.331 0.000 0.555 (multiplicity 1)
V 0.714 0.500 0.721 (multiplicity 1)
V 0.786 0.000 0.406 (multiplicity 1)
O 0.086 0.000 0.488 (multiplicity 1)
O 0.191 0.500 0.083 (multiplicity 1)
O 0.252 0.000 0.836 (multiplicity 1)
O 0.367 0.500 0.635 (multiplicity 1)
O 0.471 0.000 0.379 (multiplicity 1)
O 0.560 0.500 0.942 (multiplicity 1)
O 0.651 0.000 0.671 (multiplicity 1)
O 0.782 0.500 0.487 (multiplicity 1)
O 0.831 0.000 0.198 (multiplicity 1)
O 0.934 0.500 0.846 (multiplicity 1)

The 10 most intense peaks (2θ = 10–90°), low angle first:
index  d/Å  Position (°2θ)  I_rel
0 0 1  7.899  11.20  100
1 0 1  5.006  17.72  52
0 0 2  3.950  22.51  14
0 1 1  3.327  26.80  69
2 0 0  3.308  26.95  30
1 1 1  2.959  30.21  37
1 0 -3  2.470  36.38  25
3 0 1  2.109  42.87  23
0 2 0  1.834  49.72  27
3 1 2  1.691  54.26  38

8.
EuFe4Cu3O12: calculated powder XRD pattern (Cu Ka), based on a DFT-relaxed cell (GGA+U, the Materials Project).
No peak broadening, texture or thermal motion is included.

Cell and atoms:
Cell: 7.495 7.495 7.495 Å, 90.00 90.00 90.00°
Space group Im-3 (No. 204)
Asymmetric unit:
Eu 0.000 0.000 0.000 (multiplicity 2)
Fe 0.250 0.250 0.250 (multiplicity 8)
Cu 0.000 0.000 0.500 (multiplicity 6)
O 0.000 0.167 0.312 (multiplicity 24)

The 10 most intense peaks (2θ = 10–90°), low angle first:
index  d/Å  Position (°2θ)  I_rel
1 1 0  5.300  16.73  11
2 0 0  3.747  23.74  5
2 2 0  2.650  33.83  100
3 1 0  2.370  37.96  10
2 2 2  2.164  41.75  5
3 2 1  2.003  45.27  9
4 0 0  1.874  48.59  23
4 2 2  1.530  60.52  47
4 4 0  1.325  71.17  11
6 0 2  1.185  81.17  16